Structure and computed powder XRD pattern of V4GaW2 (a cell relaxed with GGA-PBE; Cu Kα X-rays).
Neutral-atom scattering factors, no anomalous dispersion.

Cell: 5.287 6.202 6.818 Å, 90.10 103.46 102.43°
Space group P-1 (No. 2)
Symmetry-distinct sites (fractional):
1 V 0.028 0.093 0.357
2 V 0.223 0.332 0.134
3 V 0.282 0.622 0.862
4 V 0.339 0.258 0.757
5 Ga 0.153 0.742 0.200
6 W 0.000 0.500 0.500
7 W 0.500 0.000 0.000
8 W 0.500 0.000 0.500
9 W 0.500 0.500 0.500

Most intense lines, 10° ≤ 2θ ≤ 80°, by intensity:
d_spacing  2θ (°)  I/Imax  (hkl)
2.176  41.51  100.0  0 2 2
2.183  41.35  66.5  2 -2 0
2.277  39.58  55.1  2 0 -2
4.356  20.39  46.5  0 1 1
6.621  13.37  40.9  0 0 1
2.505  35.85  33.5  2 0 0